For K2TlH3, a crystal structure in Alexandria, relaxed with PBE gives the theoretical powder XRD pattern in this record (CuKα).
Lines closer than 0.1° are merged.

Principal peaks in the range 2θ from 5° to 70°, in order of rising 2θ:
2theta	I/Imax
15.64	100.0
27.25	89.9
30.84	96.1
41.62	42.7
50.47	48.4
65.51	21.9

```
data_K2TlH3
_cell_length_a 6.5442
_cell_length_b 6.5442
_cell_length_c 6.7477
_cell_angle_alpha 90.00
_cell_angle_beta 90.00
_cell_angle_gamma 120.00
_symmetry_space_group_name_H-M 'P 63/m c m'
_symmetry_Int_Tables_number 193
_symmetry_space_group_name_Hall '-P 6c 2'
loop_
_atom_site_label
_atom_site_type_symbol
_atom_site_fract_x
_atom_site_fract_y
_atom_site_fract_z
K1 K 0.3333 0.6667 0.0000
Tl1 Tl 0.0000 0.0000 0.2500
H1 H 0.0000 0.3586 0.2500
```